Structure and computed powder diffractogram of Co2BiF (a DFT-relaxed cell (PBE+U, Alexandria); copper Kα).
Intensities are scaled so that the largest is 100.

```
4
Lattice="0.000 3.270 3.270 3.270 0.000 3.270 3.270 3.270 0.000" Properties=species:S:1:pos:R:3 pbc="T T T"
Co 1.635 1.635 1.635
Co 4.905 4.905 4.905
Bi 0.000 0.000 0.000
F 3.270 3.270 3.270
```

Main lines, by angle (15 to 90 degrees two-theta):
2θ = 23.56°, d 3.776, intensity 67
2θ = 38.96°, d 2.312, intensity 100
2θ = 46.03°, d 1.972, intensity 37
2θ = 56.27°, d 1.635, intensity 17
2θ = 61.84°, d 1.500, intensity 16
2θ = 70.55°, d 1.335, intensity 33